Computed powder XRD pattern
Compound: NaTi2O4
Radiation: Cu Kα X-rays
Structure: the GGA-PBE geometry in Alexandria
Peak positions follow from Bragg's law for the DFT cell and can differ from measured ones.

Crystal structure
```
data_NaTi2O4
_chemical_formula_sum 'Na4 Ti8 O16'
_space_group_name_H-M_alt 'P n m a'
_space_group_IT_number 62
_space_group_name_Hall '-P 2ac 2n'
_cell_length_a 9.355
_cell_length_b 2.964
_cell_length_c 10.846
_cell_angle_alpha 90.00
_cell_angle_beta 90.00
_cell_angle_gamma 90.00
loop_
_atom_site_label
_atom_site_type_symbol
_atom_site_fract_x
_atom_site_fract_y
_atom_site_fract_z
_atom_site_occupancy
Na1 Na 0.243 0.250 0.154 1
Ti1 Ti 0.064 0.250 0.389 1
Ti2 Ti 0.082 0.250 0.897 1
O1 O 0.022 0.750 0.782 1
O2 O 0.080 0.250 0.571 1
O3 O 0.113 0.750 0.022 1
O4 O 0.208 0.750 0.351 1
```

Peak list (12 most intense, 2θ = 10–90°, by angle)
(2 0 0), d 4.683, intensity 83.7; (0 0 4), d 2.712, intensity 47.6; (3 0 2), d 2.703, intensity 79.1; (1 1 2), d 2.505, intensity 100.0; (1 1 3), d 2.226, intensity 27.5; (3 1 1), d 2.108, intensity 20.5; (1 1 4), d 1.957, intensity 14.7; (4 1 0), d 1.838, intensity 70.0; (1 1 6), d 1.523, intensity 16.9; (4 1 4), d 1.520, intensity 47.4; (0 2 0), d 1.482, intensity 21.8; (0 2 4), d 1.300, intensity 23.7

Computed powder XRD pattern
Compound: Na2Ti3O7
Radiation: Cu Kα X-rays
Structure: the GGA-PBE geometry in Alexandria
Peak positions follow from Bragg's law for the DFT cell and can differ from measured ones.

Crystal structure
```
data_Na2Ti3O7
_chemical_formula_sum 'Na4 Ti6 O14'
_space_group_name_H-M_alt 'P 1 21/m 1'
_space_group_IT_number 11
_space_group_name_Hall '-P 2yb'
_cell_length_a 8.660
_cell_length_b 3.820
_cell_length_c 9.239
_cell_angle_alpha 90.00
_cell_angle_beta 101.76
_cell_angle_gamma 90.00
loop_
_atom_site_label
_atom_site_type_symbol
_atom_site_fract_x
_atom_site_fract_y
_atom_site_fract_z
_atom_site_occupancy
Na1 Na 0.000 0.250 0.158 1
Na2 Na 0.182 0.250 0.591 1
Ti1 Ti 0.252 0.750 0.325 1
Ti2 Ti 0.353 0.750 0.015 1
Ti3 Ti 0.469 0.750 0.721 1
O1 O 0.057 0.750 0.346 1
O2 O 0.176 0.750 0.092 1
O3 O 0.281 0.750 0.813 1
O4 O 0.305 0.250 0.318 1
O5 O 0.349 0.750 0.539 1
O6 O 0.415 0.250 0.044 1
O7 O 0.486 0.750 0.247 1
```

Peak list (12 most intense, 2θ = 10–90°, by angle)
(1 0 0), d 8.478, intensity 100.0; (1 0 1), d 5.639, intensity 28.7; (1 1 0), d 3.483, intensity 48.9; (1 1 1), d 3.163, intensity 21.4; (0 0 3), d 3.015, intensity 18.9; (2 1 -1), d 2.820, intensity 16.7; (3 0 -2), d 2.653, intensity 24.8; (4 0 -2), d 2.090, intensity 29.7; (1 0 4), d 2.082, intensity 34.5; (0 2 0), d 1.910, intensity 34.7; (4 1 -2), d 1.833, intensity 14.1; (1 2 4), d 1.407, intensity 16.2

Computed powder XRD pattern
Compound: Na4Ti7O16
Radiation: Cu Kα X-rays
Structure: the GGA-PBE geometry in Alexandria
Peak positions follow from Bragg's law for the DFT cell and can differ from measured ones.

Crystal structure
```
data_Na4Ti7O16
_chemical_formula_sum 'Na4 Ti7 O16'
_space_group_name_H-M_alt 'P 1 m 1'
_space_group_IT_number 6
_space_group_name_Hall 'P -2y'
_cell_length_a 5.527
_cell_length_b 6.032
_cell_length_c 9.564
_cell_angle_alpha 90.00
_cell_angle_beta 91.31
_cell_angle_gamma 90.00
loop_
_atom_site_label
_atom_site_type_symbol
_atom_site_fract_x
_atom_site_fract_y
_atom_site_fract_z
_atom_site_occupancy
Na1 Na 0.000 0.000 0.000 1
Na2 Na 0.032 0.000 0.695 1
Na3 Na 0.524 0.244 0.590 1
Ti1 Ti 0.017 0.500 0.694 1
Ti2 Ti 0.093 0.252 0.401 1
Ti3 Ti 0.511 0.246 0.905 1
Ti4 Ti 0.582 0.000 0.203 1
Ti5 Ti 0.621 0.500 0.176 1
O1 O 0.250 0.282 0.780 1
O2 O 0.260 0.000 0.482 1
O3 O 0.270 0.500 0.491 1
O4 O 0.381 0.000 0.014 1
O5 O 0.394 0.500 0.012 1
O6 O 0.420 0.251 0.271 1
O7 O 0.674 0.000 0.812 1
O8 O 0.732 0.500 0.803 1
O9 O 0.741 0.248 0.078 1
O10 O 0.893 0.000 0.309 1
O11 O 0.907 0.277 0.562 1
O12 O 0.917 0.500 0.301 1
```

Peak list (12 most intense, 2θ = 10–90°, by angle)
(1 0 -1), d 4.832, intensity 100.0; (1 0 1), d 4.737, intensity 65.5; (1 0 -3), d 2.788, intensity 45.8; (2 0 0), d 2.763, intensity 24.7; (1 0 3), d 2.734, intensity 43.9; (1 2 -1), d 2.559, intensity 25.8; (0 2 2), d 2.548, intensity 62.3; (1 2 2), d 2.305, intensity 21.8; (2 2 -2), d 1.886, intensity 24.1; (2 2 -3), d 1.730, intensity 22.0; (1 2 -5), d 1.557, intensity 24.5; (0 4 0), d 1.508, intensity 22.1